(1)
For K3Ni2O4, a DFT-relaxed cell (GGA+U, Alexandria) gives the theoretical powder X-ray diffraction pattern in this record (Cu Kα (weighted mean of Kα1 and Kα2)).
Neutral-atom scattering factors, no anomalous dispersion.

Structural model:
```
data_K3Ni2O4
_cell_length_a 6.1175
_cell_length_b 9.1280
_cell_length_c 10.6855
_cell_angle_alpha 90.00
_cell_angle_beta 90.00
_cell_angle_gamma 90.00
_space_group_name_H-M_alt 'C m c m'
_space_group_IT_number 63
_space_group_name_Hall '-C 2c 2'
loop_
_atom_site_label
_atom_site_fract_x
_atom_site_fract_y
_atom_site_fract_z
K1 0.0000 0.1495 0.0730
K2 0.0000 0.2037 0.7500
Ni1 0.0000 0.4328 0.2500
Ni2 0.0000 0.5000 0.0000
O1 0.2019 0.4324 0.1153
```

Largest 12 diffraction maxima, in order of falling intensity, 2θ from 10° to 80°:
2θ 32.88, I = 100.0; 2θ 17.45, I = 83.8; 2θ 43.76, I = 68.4; 2θ 29.20, I = 67.4; 2θ 33.96, I = 58.4; 2θ 19.45, I = 44.0; 2θ 30.65, I = 43.5; 2θ 21.17, I = 41.0; 2θ 45.06, I = 40.0; 2θ 38.06, I = 39.4; 2θ 31.87, I = 30.6; 2θ 57.77, I = 24.8

=====

(2)
For K4Ni3O6, a DFT-relaxed cell (GGA+U, Alexandria) gives the theoretical powder X-ray diffraction pattern in this record (Cu Kα (weighted mean of Kα1 and Kα2)).
Neutral-atom scattering factors, no anomalous dispersion.

Structural model:
```
data_K4Ni3O6
_cell_length_a 9.0495
_cell_length_b 6.1474
_cell_length_c 7.8166
_cell_angle_alpha 90.00
_cell_angle_beta 92.13
_cell_angle_gamma 90.00
_space_group_name_H-M_alt 'C 1 2/m 1'
_space_group_IT_number 12
loop_
_space_group_symop_operation_xyz
'x,y,z'
'-x,-y,-z'
'-x,y,-z'
'x,-y,z'
'x+1/2,y+1/2,z'
'-x+1/2,-y+1/2,-z'
'-x+1/2,y+1/2,-z'
'x+1/2,-y+1/2,z'
loop_
_atom_site_label
_atom_site_fract_x
_atom_site_fract_y
_atom_site_fract_z
K1 0.1481 0.0000 0.3884
K2 0.1796 0.0000 0.8792
Ni1 0.0000 0.5000 0.5000
Ni2 0.0381 0.5000 0.8299
O1 0.0000 0.3022 0.0000
O2 0.0748 0.2995 0.6564
```

Largest 12 diffraction maxima, in order of falling intensity, 2θ from 10° to 80°:
2θ 33.10, I = 100.0; 2θ 17.44, I = 84.2; 2θ 29.07, I = 70.9; 2θ 19.63, I = 56.8; 2θ 42.00, I = 33.2; 2θ 45.66, I = 30.9; 2θ 42.85, I = 18.5; 2θ 28.53, I = 17.3; 2θ 39.21, I = 17.1; 2θ 38.52, I = 16.2; 2θ 54.12, I = 16.1; 2θ 22.35, I = 15.4

=====

(3)
For K3NiO2, a DFT-relaxed cell (GGA+U, Alexandria) gives the theoretical powder X-ray diffraction pattern in this record (Cu Kα (weighted mean of Kα1 and Kα2)).
Neutral-atom scattering factors, no anomalous dispersion.

Structural model:
```
data_K3NiO2
_cell_length_a 6.0990
_cell_length_b 6.0990
_cell_length_c 14.0078
_cell_angle_alpha 90.00
_cell_angle_beta 90.00
_cell_angle_gamma 90.00
_space_group_name_H-M_alt 'P 41 21 2'
_space_group_IT_number 92
loop_
_space_group_symop_operation_xyz
'x,y,z'
'-y+1/2,x+1/2,z+1/4'
'-x,-y,z+1/2'
'y+1/2,-x+1/2,z+3/4'
'x+1/2,-y+1/2,-z+3/4'
'-y,-x,-z+1/2'
'-x+1/2,y+1/2,-z+1/4'
'y,x,-z'
loop_
_atom_site_label
_atom_site_fract_x
_atom_site_fract_y
_atom_site_fract_z
K1 0.0205 0.4780 0.1245
K2 0.0502 0.0502 0.5000
Ni1 0.0044 0.9956 0.2500
O1 0.2014 0.2134 0.7398
```

Largest 12 diffraction maxima, in order of falling intensity, 2θ from 10° to 80°:
2θ 32.95, I = 100.0; 2θ 29.29, I = 44.4; 2θ 54.30, I = 30.4; 2θ 41.90, I = 27.6; 2θ 19.30, I = 13.7; 2θ 61.02, I = 10.1; 2θ 69.10, I = 9.5; 2θ 52.24, I = 8.0; 2θ 70.86, I = 6.7; 2θ 60.74, I = 5.6; 2θ 55.92, I = 5.5; 2θ 24.24, I = 5.4

=====

(4)
For K3NiO2, a DFT-relaxed cell (GGA+U, Alexandria) gives the theoretical powder X-ray diffraction pattern in this record (Cu Kα (weighted mean of Kα1 and Kα2)).
Neutral-atom scattering factors, no anomalous dispersion.

Structural model:
```
data_K3NiO2
_cell_length_a 6.1186
_cell_length_b 6.1186
_cell_length_c 7.0323
_cell_angle_alpha 90.00
_cell_angle_beta 90.00
_cell_angle_gamma 90.00
_space_group_name_H-M_alt 'P 42/m n m'
_space_group_IT_number 136
_space_group_name_Hall '-P 4n 2n'
loop_
_atom_site_label
_atom_site_fract_x
_atom_site_fract_y
_atom_site_fract_z
K1 0.0000 0.0000 0.0000
K2 0.0000 0.5000 0.2500
Ni1 0.0000 0.0000 0.5000
O1 0.2071 0.2071 0.5000
```

Largest 12 diffraction maxima, in order of falling intensity, 2θ from 10° to 80°:
2θ 32.82, I = 100.0; 2θ 29.19, I = 47.7; 2θ 54.10, I = 38.1; 2θ 41.76, I = 30.4; 2θ 19.23, I = 11.4; 2θ 68.81, I = 11.1; 2θ 60.76, I = 10.4; 2θ 70.59, I = 9.7; 2θ 68.59, I = 8.4; 2θ 60.53, I = 8.1; 2θ 52.02, I = 7.8; 2θ 24.15, I = 6.8